No. 1
The following is a theoretical powder diffraction line list of LiPr2Zn2P2O2. It was derived from the PBE geometry in Alexandria, using CuKα.
Peak positions follow from Bragg's law for the DFT cell and can differ from measured ones.

Cell and atoms:
Unit cell a=10.4733 b=10.4733 c=10.4733 alpha=22.90 beta=22.90 gamma=22.90
Sites, in units of the cell vectors:
Li: 0.0000 0.0000 0.0000
Pr: 0.1183 0.1183 0.1183
Pr: 0.8817 0.8817 0.8817
Zn: 0.2971 0.2971 0.2971
Zn: 0.7029 0.7029 0.7029
P: 0.3830 0.3830 0.3830
P: 0.6170 0.6170 0.6170
O: 0.1955 0.1955 0.1955
O: 0.8045 0.8045 0.8045

Largest 10 diffraction maxima, low angle first, 2θ = 10–80°:
3.576 Å, intensity 304; 3.505 Å, intensity 193; 3.257 Å, intensity 977; 3.103 Å, intensity 934; 2.779 Å, intensity 391; 2.621 Å, intensity 275; 2.549 Å, intensity 436; 2.331 Å, intensity 537; 2.079 Å, intensity 1000; 1.610 Å, intensity 818

---

No. 2
The following is a theoretical powder diffraction line list of LiPuP2O8. It was derived from the PBE geometry in Alexandria, using CuKα.
Peak positions follow from Bragg's law for the DFT cell and can differ from measured ones.

Cell and atoms:
Unit cell a=5.6831 b=5.6831 c=5.6831 alpha=106.22 beta=106.22 gamma=116.18
Sites, in units of the cell vectors:
Li: 0.0000 0.0000 0.0000
Pu: 0.2500 0.7500 0.5000
P: 0.5000 0.5000 0.0000
P: 0.7500 0.2500 0.5000
O: 0.3445 0.1635 0.8189
O: 0.3445 0.5256 0.1811
O: 0.4095 0.0859 0.3236
O: 0.4744 0.6555 0.8189
O: 0.7624 0.0859 0.6764
O: 0.8365 0.6555 0.1811
O: 0.9141 0.2376 0.3236
O: 0.9141 0.5905 0.6764

Largest 10 diffraction maxima, low angle first, 2θ = 10–80°:
4.824 Å, intensity 821; 4.509 Å, intensity 1000; 3.411 Å, intensity 745; 2.720 Å, intensity 507; 2.550 Å, intensity 484; 2.254 Å, intensity 273; 2.158 Å, intensity 209; 2.127 Å, intensity 251; 1.805 Å, intensity 261; 1.752 Å, intensity 408

---

No. 3
The following is a theoretical powder diffraction line list of Li2PSO3. It was derived from the PBE geometry in Alexandria, using CuKα.
Peak positions follow from Bragg's law for the DFT cell and can differ from measured ones.

Cell and atoms:
Unit cell a=6.5627 b=6.5627 c=6.5627 alpha=52.03 beta=52.03 gamma=52.03
Sites, in units of the cell vectors:
Li: 0.0000 0.0000 0.0000
Li: 0.0000 0.0000 0.5000
Li: 0.0000 0.5000 0.0000
Li: 0.5000 0.0000 0.0000
P: 0.4019 0.4019 0.4019
P: 0.5980 0.5980 0.5980
S: 0.2790 0.2790 0.2790
S: 0.7210 0.7210 0.7210
O: 0.2737 0.7248 0.7248
O: 0.2752 0.2752 0.7263
O: 0.2752 0.7263 0.2752
O: 0.7248 0.2737 0.7248
O: 0.7248 0.7248 0.2737
O: 0.7263 0.2752 0.2752

Largest 10 diffraction maxima, low angle first, 2θ = 10–80°:
4.784 Å, intensity 1000; 2.879 Å, intensity 497; 2.829 Å, intensity 420; 2.566 Å, intensity 329; 2.466 Å, intensity 149; 2.392 Å, intensity 395; 2.181 Å, intensity 329; 2.150 Å, intensity 268; 1.578 Å, intensity 185; 1.439 Å, intensity 262

---

No. 4
The following is a theoretical powder diffraction line list of Li2SbP5O15. It was derived from the PBE geometry in Alexandria, using CuKα.
Peak positions follow from Bragg's law for the DFT cell and can differ from measured ones.

Cell and atoms:
Unit cell a=5.4489 b=15.2110 c=8.1716 alpha=90.00 beta=99.41 gamma=90.00
Sites, in units of the cell vectors:
Li: 0.1331 0.1587 0.1582
Li: 0.1331 0.3413 0.1582
Li: 0.8669 0.6587 0.8418
Li: 0.8669 0.8413 0.8418
Sb: 0.5000 0.0000 0.5000
Sb: 0.5000 0.5000 0.5000
P: 0.0164 0.1502 0.5207
P: 0.0164 0.3498 0.5207
P: 0.3275 0.1001 0.8479
P: 0.3275 0.3999 0.8479
P: 0.4071 0.7500 0.9708
P: 0.5929 0.2500 0.0292
P: 0.6725 0.6001 0.1521
P: 0.6725 0.8999 0.1521
P: 0.9836 0.6502 0.4793
P: 0.9836 0.8498 0.4793
O: 0.0126 0.2500 0.4582
O: 0.1377 0.7500 0.8944
O: 0.1561 0.1591 0.7050
O: 0.1561 0.3409 0.7050
O: 0.1693 0.1007 0.4098
O: 0.1693 0.3993 0.4098
O: 0.1852 0.0826 0.9836
O: 0.1852 0.4174 0.9836
O: 0.2470 0.6197 0.4822
O: 0.2470 0.8803 0.4822
O: 0.3950 0.2500 0.1374
O: 0.4270 0.0238 0.7589
O: 0.4270 0.4762 0.7589
O: 0.4442 0.6673 0.0989
O: 0.4442 0.8327 0.0989
O: 0.5558 0.1673 0.9011
O: 0.5558 0.3327 0.9011
O: 0.5730 0.5238 0.2411
O: 0.5730 0.9762 0.2411
O: 0.6050 0.7500 0.8626
O: 0.7530 0.1197 0.5178
O: 0.7530 0.3803 0.5178
O: 0.8148 0.5826 0.0164
O: 0.8148 0.9174 0.0164
O: 0.8307 0.6007 0.5902
O: 0.8307 0.8993 0.5902
O: 0.8439 0.6591 0.2950
O: 0.8439 0.8409 0.2950
O: 0.8623 0.2500 0.1056
O: 0.9874 0.7500 0.5418

Largest 10 diffraction maxima, low angle first, 2θ = 10–80°:
8.062 Å, intensity 756; 5.532 Å, intensity 1000; 4.390 Å, intensity 739; 4.091 Å, intensity 862; 4.031 Å, intensity 749; 3.688 Å, intensity 317; 3.656 Å, intensity 920; 3.104 Å, intensity 577; 2.994 Å, intensity 389; 2.687 Å, intensity 413

---

Q: Number 1 is which compound?
A: LiPr2Zn2P2O2

---

Q: Number 2 is which compound?
A: LiPuP2O8

---

Q: Which formula does entry 3 have?
A: Li2PSO3